Structure and simulated powder X-ray diffraction pattern of K3HPdS2Cl2O6 (a structure optimized by DFT (GGA-PBE); copper Kα).

Atomic structure:
a = 9.348 Å, b = 9.348 Å, c = 7.183 Å
α = 90.00°, β = 90.00°, γ = 69.99°
Positions (direct):
K (0.120, 0.880, 0.500)
K (0.138, 0.424, 0.679)
K (0.424, 0.138, 0.179)
K (0.576, 0.862, 0.679)
K (0.862, 0.576, 0.179)
K (0.880, 0.120, 0.000)
H (0.483, 0.517, 0.249)
H (0.517, 0.483, 0.749)
Pd (0.246, 0.754, 0.026)
Pd (0.754, 0.246, 0.526)
S (0.239, 0.543, 0.181)
S (0.457, 0.761, 0.181)
S (0.543, 0.239, 0.681)
S (0.761, 0.457, 0.681)
Cl (0.009, 0.770, 0.876)
Cl (0.230, 0.991, 0.876)
Cl (0.770, 0.009, 0.376)
Cl (0.991, 0.230, 0.376)
O (0.144, 0.599, 0.350)
O (0.180, 0.442, 0.069)
O (0.401, 0.442, 0.244)
O (0.401, 0.856, 0.350)
O (0.442, 0.180, 0.569)
O (0.442, 0.401, 0.744)
O (0.558, 0.599, 0.244)
O (0.558, 0.820, 0.069)
O (0.599, 0.144, 0.850)
O (0.599, 0.558, 0.744)
O (0.820, 0.558, 0.569)
O (0.856, 0.401, 0.850)

Largest 10 diffraction maxima, in order of rising 2θ, 15° ≤ 2θ ≤ 90°:
2θ (°)	I_rel
15.9	100
16.5	31
23.7	22
26.8	26
27.4	21
31.3	35
32.2	19
33.0	37
34.2	22
40.8	21